Record 1
Starting from a crystal structure in the Materials Project, relaxed with GGA-PBE, the X-ray diffraction stick pattern of K2Hg3Ge2S8 was calculated for a wavelength of 1.5418 Å.
Kinematic intensities with the Lorentz-polarization factor, no thermal factor.

Crystal structure
Cell: 6.553 6.553 9.886 Å, 93.53 93.53 83.26°
Element x y z (fractional)
K (0.216, 0.216, 0.230)
K (0.784, 0.784, 0.770)
Hg (0.307, 0.693, 0.500)
Hg (0.626, 0.374, 0.000)
Hg (0.790, 0.210, 0.500)
Ge (0.254, 0.280, 0.725)
Ge (0.720, 0.746, 0.275)
S (0.309, 0.614, 0.741)
S (0.380, 0.121, 0.542)
S (0.386, 0.691, 0.259)
S (0.394, 0.135, 0.919)
S (0.756, 0.082, 0.261)
S (0.865, 0.606, 0.081)
S (0.879, 0.620, 0.458)
S (0.918, 0.244, 0.739)

Largest 10 diffraction maxima, by angle, 2θ from 10° to 90°:
| 2θ (°) | I (rel.) |
| --- | --- |
| 13.6 | 54.4 |
| 15.9 | 59.7 |
| 22.3 | 100.0 |
| 24.6 | 55.9 |
| 27.3 | 64.8 |
| 27.5 | 83.3 |
| 28.5 | 75.5 |
| 29.4 | 42.5 |
| 36.5 | 43.6 |
| 36.8 | 42.6 |

Record 2
Starting from a crystal structure in the Materials Project, relaxed with GGA-PBE, the X-ray diffraction stick pattern of SmFe2Si2 was calculated for a wavelength of 1.5418 Å.
Kinematic intensities with the Lorentz-polarization factor, no thermal factor.

Crystal structure
Cell: 4.002 4.002 9.629 Å, 90.00 90.00 90.00°
Element x y z (fractional)
Sm (0.000, 0.000, 0.000)
Sm (0.500, 0.500, 0.500)
Fe (0.000, 0.500, 0.250)
Fe (0.000, 0.500, 0.750)
Fe (0.500, 0.000, 0.250)
Fe (0.500, 0.000, 0.750)
Si (0.000, 0.000, 0.362)
Si (0.000, 0.000, 0.638)
Si (0.500, 0.500, 0.138)
Si (0.500, 0.500, 0.862)

Largest 10 diffraction maxima, by angle, 2θ from 10° to 90°:
| 2θ (°) | I (rel.) |
| --- | --- |
| 24.1 | 55.1 |
| 35.9 | 63.4 |
| 36.8 | 100.0 |
| 37.4 | 16.4 |
| 45.3 | 43.1 |
| 52.7 | 15.5 |
| 59.1 | 29.5 |
| 60.1 | 15.6 |
| 67.0 | 21.1 |
| 78.1 | 20.7 |

Record 3
Starting from a crystal structure in the Materials Project, relaxed with GGA-PBE, the X-ray diffraction stick pattern of Ba2CuSeO2 was calculated for a wavelength of 1.5418 Å.
Kinematic intensities with the Lorentz-polarization factor, no thermal factor.

Crystal structure
Cell: 4.053 4.053 7.562 Å, 90.00 90.00 90.00°
Element x y z (fractional)
Ba (0.000, 0.000, 0.249)
Ba (0.000, 0.000, 0.751)
Cu (0.500, 0.500, 0.000)
Se (0.500, 0.500, 0.500)
O (0.000, 0.500, 0.000)
O (0.500, 0.000, 0.000)

Largest 10 diffraction maxima, by angle, 2θ from 10° to 90°:
| 2θ (°) | I (rel.) |
| --- | --- |
| 21.9 | 10.0 |
| 31.2 | 46.4 |
| 32.4 | 100.0 |
| 44.7 | 23.2 |
| 48.1 | 9.7 |
| 56.3 | 40.1 |
| 58.5 | 15.6 |
| 67.8 | 12.9 |
| 74.0 | 7.9 |
| 74.6 | 8.7 |

Record 4
Starting from a crystal structure in the Materials Project, relaxed with GGA-PBE, the X-ray diffraction stick pattern of TmMgCd2 was calculated for a wavelength of 1.5418 Å.
Kinematic intensities with the Lorentz-polarization factor, no thermal factor.

Crystal structure
Cell: 7.172 7.172 7.172 Å, 90.00 90.00 90.00°
Element x y z (fractional)
Tm (0.000, 0.000, 0.000)
Tm (0.000, 0.500, 0.500)
Tm (0.500, 0.000, 0.500)
Tm (0.500, 0.500, 0.000)
Mg (0.000, 0.000, 0.500)
Mg (0.000, 0.500, 0.000)
Mg (0.500, 0.000, 0.000)
Mg (0.500, 0.500, 0.500)
Cd (0.250, 0.250, 0.250)
Cd (0.250, 0.250, 0.750)
Cd (0.250, 0.750, 0.250)
Cd (0.250, 0.750, 0.750)
Cd (0.750, 0.250, 0.250)
Cd (0.750, 0.250, 0.750)
Cd (0.750, 0.750, 0.250)
Cd (0.750, 0.750, 0.750)

Largest 10 diffraction maxima, by angle, 2θ from 10° to 90°:
| 2θ (°) | I (rel.) |
| --- | --- |
| 21.5 | 26.2 |
| 35.4 | 100.0 |
| 41.8 | 14.3 |
| 50.9 | 17.4 |
| 55.9 | 6.2 |
| 63.6 | 35.1 |
| 67.9 | 4.6 |
| 74.9 | 10.8 |
| 79.0 | 4.6 |
| 85.7 | 15.5 |